For GdFe4P12, the PBE geometry in Alexandria gives the calculated powder diffraction line list in this record (copper Kα).
Kinematic intensities with the Lorentz-polarization factor, no thermal factor.

Principal peaks in the range 2θ = 10–80°, in order of rising 2θ:
Position (°2θ)	I (rel.)
16.10	487
32.53	878
36.50	1000
43.50	751
58.05	616
60.66	463

Structural model:
a = 6.741 Å, b = 6.741 Å, c = 6.741 Å
α = 109.47°, β = 109.47°, γ = 109.47°
Element x y z (fractional)
Gd (0.000, 0.000, 0.000)
Fe (0.000, 0.000, 0.500)
Fe (0.000, 0.500, 0.000)
Fe (0.500, 0.000, 0.000)
Fe (0.500, 0.500, 0.500)
P (0.151, 0.503, 0.352)
P (0.151, 0.799, 0.648)
P (0.201, 0.352, 0.849)
P (0.352, 0.151, 0.503)
P (0.352, 0.849, 0.201)
P (0.497, 0.648, 0.849)
P (0.503, 0.352, 0.151)
P (0.648, 0.151, 0.799)
P (0.648, 0.849, 0.497)
P (0.799, 0.648, 0.151)
P (0.849, 0.201, 0.352)
P (0.849, 0.497, 0.648)